Li4MnCo3O8: theoretical powder diffractogram (λ = 1.5418 Å (Cu Kα)), based on the GGA+U geometry in Alexandria.

Most intense lines, 10° ≤ 2θ ≤ 90°, in order of rising 2θ:
| two_theta | d_spacing | I/Imax |
| --- | --- | --- |
| 18.25 | 4.862 | 100 |
| 35.20 | 2.549 | 15 |
| 36.03 | 2.493 | 14 |
| 36.95 | 2.433 | 18 |
| 42.38 | 2.133 | 27 |
| 43.47 | 2.082 | 25 |
| 44.83 | 2.022 | 23 |
| 47.73 | 1.905 | 9 |

Structural model:
```
Li4MnCo3O8
1.0
2.9222 0.0000 0.0000
0.2188 5.0565 0.0000
1.1596 0.8818 9.7237
Li Mn Co O
4 1 3 8
Cartesian
0.7502 2.1555 2.4150
1.9378 1.2759 7.3738
2.3628 4.6625 2.3499
3.5505 3.7828 7.3087
0.5798 0.4409 4.8618
2.0521 4.6716 9.7135
2.1503 2.9692 4.8618
2.2486 1.2667 0.0102
0.6942 3.7810 3.8334
0.6964 0.4612 1.1511
2.0399 2.9388 8.5839
2.1061 4.5907 5.9565
2.1945 1.3476 3.7672
2.2607 2.9995 1.1398
3.6042 5.4772 8.5725
3.6064 2.1573 5.8903
```



Li2MnCoO4: theoretical powder diffractogram (λ = 1.5418 Å (Cu Kα)), based on the GGA+U geometry in Alexandria.

Most intense lines, 10° ≤ 2θ ≤ 90°, in order of rising 2θ:
| two_theta | d_spacing | I/Imax |
| --- | --- | --- |
| 18.34 | 4.837 | 100 |
| 34.76 | 2.581 | 15 |
| 36.61 | 2.455 | 25 |
| 41.53 | 2.174 | 25 |
| 44.59 | 2.032 | 47 |
| 58.67 | 1.574 | 9 |
| 62.31 | 1.490 | 11 |
| 62.81 | 1.479 | 13 |

Structural model:
```
Li2MnCoO4
1.0
4.8697 -1.4292 0.0000
4.8697 1.4292 0.0000
-1.2072 0.0000 10.3232
Li Mn Co O
4 2 2 8
Cartesian
0.0000 0.0000 0.0000
-0.6036 0.0000 5.1616
3.8747 0.0000 7.5261
4.6575 0.0000 2.7971
1.2615 0.0000 8.9108
7.2707 0.0000 1.4124
2.0685 0.0000 3.9602
6.4637 0.0000 6.3630
0.3964 0.0000 6.9186
1.2475 0.0000 2.1305
2.7550 0.0000 5.7533
3.5397 0.0000 0.7002
4.9925 0.0000 9.6230
5.7772 0.0000 4.5699
7.2847 0.0000 8.1928
8.1358 0.0000 3.4046
```



Li4Mn3Co3O12: theoretical powder diffractogram (λ = 1.5418 Å (Cu Kα)), based on the GGA+U geometry in Alexandria.

Most intense lines, 10° ≤ 2θ ≤ 90°, in order of rising 2θ:
| two_theta | d_spacing | I/Imax |
| --- | --- | --- |
| 17.99 | 4.932 | 100 |
| 34.67 | 2.587 | 12 |
| 36.33 | 2.473 | 12 |
| 36.88 | 2.437 | 11 |
| 41.22 | 2.190 | 22 |
| 43.93 | 2.061 | 19 |
| 44.66 | 2.029 | 18 |
| 46.87 | 1.938 | 7 |

Structural model:
```
Li4Mn3Co3O12
1.0
5.7080 0.0000 0.0000
-0.0909 5.8651 0.0000
-1.4483 -1.6368 6.5701
Li Mn Co O
4 3 3 12
Cartesian
0.0000 0.0000 0.0000
0.1153 2.7026 4.1772
2.8540 0.0000 0.0000
4.0536 1.5258 2.3930
-0.0455 2.9326 0.0000
1.3201 4.3528 2.1934
2.8487 -0.1245 4.3767
-0.0241 -0.1103 4.3447
2.8086 2.9326 0.0000
4.1930 4.3386 2.2254
-0.1004 3.0464 2.2034
-0.0381 -0.2395 2.2244
1.2945 4.4048 0.2538
-0.0264 0.0155 6.4815
1.3082 4.4265 4.1895
1.3802 1.1606 4.5793
2.7886 3.0677 1.9908
2.8606 -0.1982 2.3807
4.1952 4.2128 0.0886
2.8744 -0.1765 6.3163
4.2069 4.4678 4.3457
4.2692 1.1820 4.3667
```



Li5Mn2CoO8: theoretical powder diffractogram (λ = 1.5418 Å (Cu Kα)), based on the GGA+U geometry in Alexandria.

Most intense lines, 10° ≤ 2θ ≤ 90°, in order of rising 2θ:
| two_theta | d_spacing | I/Imax |
| --- | --- | --- |
| 11.39 | 7.772 | 20 |
| 18.22 | 4.869 | 100 |
| 26.76 | 3.332 | 12 |
| 35.97 | 2.497 | 23 |
| 43.18 | 2.095 | 62 |
| 44.40 | 2.041 | 27 |
| 63.39 | 1.467 | 15 |
| 63.93 | 1.456 | 14 |

Structural model:
```
Li5Mn2CoO8
1.0
6.3200 -1.4596 0.0000
6.3200 1.4596 0.0000
-6.2081 0.0000 7.7715
Li Mn Co O
5 2 1 8
Cartesian
0.0000 0.0000 0.0000
-1.4799 0.0000 5.8904
4.0079 0.0000 0.9544
3.2980 0.0000 3.7877
8.1314 0.0000 1.7239
-0.7418 0.0000 2.8236
7.2851 0.0000 4.8241
2.7051 0.0000 6.9036
-3.5717 0.0000 5.3402
1.9982 0.0000 0.3412
1.2068 0.0000 3.5208
0.5941 0.0000 6.0409
5.9988 0.0000 1.6364
5.3980 0.0000 4.1742
4.4816 0.0000 7.1841
10.1266 0.0000 2.4540
```



Li7Mn2Co3O12: theoretical powder diffractogram (λ = 1.5418 Å (Cu Kα)), based on the GGA+U geometry in Alexandria.

Most intense lines, 10° ≤ 2θ ≤ 90°, in order of rising 2θ:
| two_theta | d_spacing | I/Imax |
| --- | --- | --- |
| 18.50 | 4.795 | 100 |
| 35.61 | 2.521 | 13 |
| 36.18 | 2.483 | 13 |
| 36.64 | 2.452 | 12 |
| 42.94 | 2.106 | 27 |
| 43.82 | 2.066 | 26 |
| 44.71 | 2.027 | 25 |
| 64.63 | 1.442 | 7 |

Structural model:
```
Li7Mn2Co3O12
1.0
5.8072 0.0000 0.0000
2.8195 5.1125 0.0000
2.8226 -0.2088 7.1287
Li Mn Co O
7 2 3 12
Cartesian
0.0000 0.0000 0.0000
1.4097 2.5563 0.0000
4.3175 0.6600 4.7731
5.7556 3.1203 4.8608
4.3133 2.5563 0.0000
5.6936 1.7834 2.2679
7.1317 4.2437 2.3556
2.8026 1.6954 2.3304
8.6466 3.2083 4.7984
4.2339 4.2375 2.3428
2.9036 0.0000 0.0000
7.2153 0.6662 4.7859
1.4028 0.9770 1.2446
2.8776 3.3411 1.3330
2.7021 0.0701 3.4532
4.1537 2.4062 3.5490
7.3204 4.0378 5.8896
5.8641 1.2905 5.9370
5.5851 3.6132 1.1918
4.1288 0.8659 1.2392
7.2955 2.4975 3.5798
8.7471 4.8336 3.6755
8.5716 1.5626 5.7957
10.0463 3.9267 5.8841
```



Li4MnCo2O7: theoretical powder diffractogram (λ = 1.5418 Å (Cu Kα)), based on the GGA+U geometry in Alexandria.

Most intense lines, 10° ≤ 2θ ≤ 90°, in order of rising 2θ:
| two_theta | d_spacing | I/Imax |
| --- | --- | --- |
| 18.61 | 4.768 | 100 |
| 35.96 | 2.498 | 14 |
| 36.81 | 2.442 | 23 |
| 43.51 | 2.080 | 27 |
| 44.60 | 2.031 | 50 |
| 48.39 | 1.881 | 11 |
| 63.96 | 1.456 | 14 |
| 64.18 | 1.451 | 14 |

Structural model:
```
Li4MnCo2O7
1.0
5.0349 0.0000 0.0000
-0.7745 5.0005 0.0000
-1.8300 -2.0601 9.5479
Li Mn Co O
8 2 4 14
Cartesian
0.0000 0.0000 0.0000
-0.9150 -1.0301 4.7740
0.0156 2.5345 1.3694
0.7917 0.1181 2.7551
0.8019 2.7512 4.1193
1.6286 0.1892 5.4286
1.6388 2.8223 6.7928
2.4149 0.4059 8.1785
-0.8900 1.5357 6.1507
3.3205 1.4047 3.3972
-0.1026 -0.8995 7.5016
-0.0948 1.6602 8.8661
2.5253 1.2802 0.6819
2.5331 3.8399 2.0463
-0.9934 3.1805 3.0194
-1.6545 2.1730 7.8292
-0.1602 0.9483 4.4598
-0.7943 -0.1438 9.1661
-0.1176 3.3235 5.9104
1.0490 4.4783 0.9632
0.6566 1.0297 7.1962
1.7739 1.9107 2.3517
1.3815 -1.5380 8.5847
2.5481 -0.3831 3.6375
3.2248 3.0842 0.3818
2.5907 1.9921 5.0881
4.0849 0.7674 1.7187
3.4239 -0.2402 6.5285
```



Li4MnCo2O7: theoretical powder diffractogram (λ = 1.5418 Å (Cu Kα)), based on the GGA+U geometry in Alexandria.

Most intense lines, 10° ≤ 2θ ≤ 90°, in order of rising 2θ:
| two_theta | d_spacing | I/Imax |
| --- | --- | --- |
| 18.36 | 4.832 | 100 |
| 35.91 | 2.500 | 14 |
| 36.08 | 2.490 | 13 |
| 43.46 | 2.082 | 28 |
| 43.64 | 2.074 | 28 |
| 43.91 | 2.062 | 27 |
| 47.75 | 1.905 | 13 |
| 63.20 | 1.471 | 15 |

Structural model:
```
Li4MnCo2O7
1.0
5.1197 0.0000 0.0000
0.8534 7.6529 0.0000
2.5098 3.5459 6.3646
Li Mn Co O
8 2 4 14
Cartesian
0.0000 0.0000 0.0000
6.7854 4.2431 3.5936
0.8573 2.1611 1.7936
0.8798 5.0053 0.8994
1.7161 7.0622 2.6547
3.4003 6.3140 0.4063
7.6015 6.3861 5.4174
7.6360 9.1012 4.5603
5.0303 4.9595 5.9013
4.2619 2.8485 4.0602
4.1661 5.6595 3.0679
5.0437 7.7623 4.9627
4.2523 8.3406 2.1894
3.4333 3.5987 1.2647
2.6143 5.2709 2.1092
1.7636 3.0876 0.1722
3.4671 7.4127 3.8341
2.6387 8.1513 1.0363
3.4942 4.5195 4.7519
4.3142 9.4605 5.4887
2.7476 2.5118 2.8798
5.7194 6.0364 4.3843
5.7834 3.3294 5.1533
6.6475 8.0355 6.1499
4.0963 1.7526 0.5692
5.0224 3.8711 2.5567
5.8971 8.8782 3.4350
5.1035 6.7417 1.6457
```



Li5MnCo2O8: theoretical powder diffractogram (λ = 1.5418 Å (Cu Kα)), based on the GGA+U geometry in Alexandria.

Most intense lines, 10° ≤ 2θ ≤ 90°, in order of rising 2θ:
| two_theta | d_spacing | I/Imax |
| --- | --- | --- |
| 17.97 | 4.937 | 100 |
| 22.51 | 3.950 | 19 |
| 36.84 | 2.440 | 35 |
| 44.03 | 2.057 | 81 |
| 46.89 | 1.938 | 12 |
| 62.68 | 1.482 | 18 |
| 65.35 | 1.428 | 23 |
| 68.39 | 1.372 | 12 |

Structural model:
```
Li5MnCo2O8
1.0
1.4280 0.8245 19.7477
-1.4280 0.8245 19.7477
0.0000 -1.6489 19.7477
Li Mn Co O
5 1 2 8
Cartesian
0.0000 0.0000 0.0000
0.0000 0.0000 7.3260
0.0000 0.0000 22.3042
0.0000 0.0000 37.1515
0.0000 0.0000 51.5397
0.0000 0.0000 14.5608
0.0000 0.0000 29.5131
0.0000 0.0000 44.5418
0.0000 0.0000 4.0532
0.0000 0.0000 10.8125
0.0000 0.0000 18.4025
0.0000 0.0000 25.8423
0.0000 0.0000 33.2283
0.0000 0.0000 40.8490
0.0000 0.0000 48.2555
0.0000 0.0000 55.0715
```



Li6Mn3CoO10: theoretical powder diffractogram (λ = 1.5418 Å (Cu Kα)), based on the GGA+U geometry in Alexandria.

Most intense lines, 10° ≤ 2θ ≤ 90°, in order of rising 2θ:
| two_theta | d_spacing | I/Imax |
| --- | --- | --- |
| 18.34 | 4.837 | 100 |
| 35.77 | 2.510 | 23 |
| 36.74 | 2.446 | 11 |
| 43.01 | 2.103 | 56 |
| 44.97 | 2.016 | 24 |
| 56.68 | 1.624 | 9 |
| 63.79 | 1.459 | 13 |
| 64.17 | 1.451 | 14 |

Structural model:
```
Li6Mn3CoO10
1.0
6.2427 -1.4724 0.0000
6.2427 1.4724 0.0000
-1.6779 0.0000 9.7001
Li Mn Co O
6 3 1 10
Cartesian
0.0000 0.0000 0.0000
1.3371 0.0000 5.5126
4.7683 0.0000 1.9792
5.4506 0.0000 4.6516
6.1188 0.0000 7.4266
9.4466 0.0000 3.7670
2.1939 0.0000 8.5584
8.6187 0.0000 0.9072
10.0792 0.0000 6.5746
0.7579 0.0000 2.8200
-0.6222 0.0000 6.2390
0.3660 0.0000 9.2291
2.6594 0.0000 2.1998
3.4609 0.0000 5.3848
4.0393 0.0000 7.9631
6.7792 0.0000 1.4335
7.3827 0.0000 4.0194
8.1482 0.0000 7.1834
10.4582 0.0000 0.2846
11.4257 0.0000 3.2281
```



Li7Mn2Co3O12: theoretical powder diffractogram (λ = 1.5418 Å (Cu Kα)), based on the GGA+U geometry in Alexandria.

Most intense lines, 10° ≤ 2θ ≤ 90°, in order of rising 2θ:
| two_theta | d_spacing | I/Imax |
| --- | --- | --- |
| 18.32 | 4.844 | 100 |
| 35.63 | 2.519 | 16 |
| 36.21 | 2.481 | 13 |
| 36.54 | 2.459 | 12 |
| 43.04 | 2.102 | 30 |
| 43.63 | 2.075 | 28 |
| 44.35 | 2.042 | 26 |
| 63.38 | 1.468 | 15 |

Structural model:
```
Li7Mn2Co3O12
1.0
5.0302 0.0000 0.0000
1.7721 5.6088 0.0000
1.5855 1.1857 7.5765
Li Mn Co O
7 2 3 12
Cartesian
0.0000 0.0000 0.0000
1.7581 4.1949 2.6668
2.5798 5.4974 5.1142
4.2048 4.8830 1.3756
4.1735 3.4505 3.9462
4.1484 1.9134 6.3309
6.6669 2.6881 5.1134
3.3425 2.1058 1.3615
5.8419 1.3398 2.6540
4.9929 4.7648 6.3946
5.1416 6.0995 3.9930
7.4751 4.0995 7.5729
1.6860 1.2054 0.8556
3.3862 5.3401 3.1923
2.5441 3.7451 0.7831
2.4721 2.2604 3.1286
3.4197 3.7940 5.8845
4.3005 6.4402 5.7869
5.7245 3.0785 7.1614
6.6113 5.6612 7.0488
4.9601 2.9791 1.9451
5.8424 4.4857 4.4529
4.2232 0.4756 1.9847
5.0108 1.6235 4.3384
```